# 1
For Rb2Hg3Pb, a cell relaxed with GGA-PBE gives the theoretical powder diffractogram in this record (a wavelength of 1.5418 Å).
Lines closer than 0.1° are merged.

Largest 10 diffraction maxima, in order of rising 2θ, 2θ = 10–90°:
2theta, I_rel
27.2, 39
27.4, 60
27.8, 44
28.0, 36
31.2, 45
32.1, 44
33.1, 69
33.9, 100
38.9, 33
46.1, 33

a b c (Å): 6.799 6.799 8.939
angles (deg): 128.84 128.84 46.88
Fractional positions:
Rb1 0.000 0.000 0.000
Rb2 0.128 0.128 0.636
Hg1 0.414 0.414 0.603
Hg2 0.731 0.731 0.417
Hg3 0.740 0.740 0.065
Pb1 0.394 0.394 0.226



# 2
For RbHg3Pb3, a cell relaxed with GGA-PBE gives the theoretical powder diffractogram in this record (a wavelength of 1.5418 Å).
Lines closer than 0.1° are merged.

Largest 10 diffraction maxima, in order of rising 2θ, 2θ = 10–90°:
2theta, I_rel
28.0, 24
32.2, 27
32.4, 100
35.8, 13
43.2, 15
49.6, 12
57.5, 20
60.3, 14
60.5, 13
88.0, 7

a b c (Å): 9.729 9.729 5.567
angles (deg): 90.00 90.00 120.00
Fractional positions:
Rb1 0.333 0.667 0.250
Rb2 0.667 0.333 0.750
Hg1 0.084 0.477 0.750
Hg2 0.393 0.916 0.750
Hg3 0.477 0.393 0.250
Hg4 0.523 0.607 0.750
Hg5 0.607 0.084 0.250
Hg6 0.916 0.523 0.250
Pb1 0.020 0.802 0.750
Pb2 0.198 0.218 0.750
Pb3 0.218 0.020 0.250
Pb4 0.782 0.980 0.750
Pb5 0.802 0.782 0.250
Pb6 0.980 0.198 0.250



# 3
For RbHg4Pb2, a cell relaxed with GGA-PBE gives the theoretical powder diffractogram in this record (a wavelength of 1.5418 Å).
Lines closer than 0.1° are merged.

Largest 10 diffraction maxima, in order of rising 2θ, 2θ = 10–90°:
2theta, I_rel
27.2, 20
28.3, 21
29.2, 100
30.8, 55
31.5, 82
32.5, 22
33.3, 79
33.7, 84
50.9, 22
59.7, 37

a b c (Å): 10.687 10.687 6.548
angles (deg): 90.16 90.16 36.17
Fractional positions:
Rb1 0.191 0.809 0.750
Rb2 0.809 0.191 0.250
Hg1 0.146 0.154 0.500
Hg2 0.154 0.146 0.000
Hg3 0.259 0.578 0.249
Hg4 0.422 0.741 0.251
Hg5 0.578 0.259 0.749
Hg6 0.741 0.422 0.751
Hg7 0.846 0.854 0.000
Hg8 0.854 0.846 0.500
Pb1 0.187 0.393 0.756
Pb2 0.393 0.187 0.256
Pb3 0.607 0.813 0.744
Pb4 0.813 0.607 0.244



# 4
For Rb2Hg7Pb, a cell relaxed with GGA-PBE gives the theoretical powder diffractogram in this record (a wavelength of 1.5418 Å).
Lines closer than 0.1° are merged.

Largest 10 diffraction maxima, in order of rising 2θ, 2θ = 10–90°:
2theta, I_rel
14.7, 26
18.2, 28
27.9, 100
33.6, 65
38.3, 60
44.2, 20
48.2, 24
56.6, 23
63.2, 28
72.1, 15

a b c (Å): 5.336 5.336 12.026
angles (deg): 90.00 90.00 90.00
Fractional positions:
Rb1 0.000 0.500 0.247
Rb2 0.500 0.000 0.753
Hg1 0.000 0.000 0.000
Hg2 0.000 0.500 0.625
Hg3 0.000 0.500 0.870
Hg4 0.500 0.000 0.130
Hg5 0.500 0.000 0.375
Hg6 0.500 0.500 0.000
Hg7 0.500 0.500 0.500
Pb1 0.000 0.000 0.500



# 5
For Rb2Hg8Pb, a cell relaxed with GGA-PBE gives the theoretical powder diffractogram in this record (a wavelength of 1.5418 Å).
Lines closer than 0.1° are merged.

Largest 10 diffraction maxima, in order of rising 2θ, 2θ = 10–90°:
2theta, I_rel
13.1, 35
28.7, 38
29.4, 100
29.6, 50
31.3, 53
31.9, 73
39.8, 24
39.9, 32
44.2, 24
60.1, 19

a b c (Å): 5.613 7.365 9.631
angles (deg): 112.33 104.56 90.06
Fractional positions:
Rb1 0.101 0.118 0.237
Rb2 0.899 0.882 0.763
Hg1 0.156 0.683 0.369
Hg2 0.345 0.105 0.642
Hg3 0.347 0.540 0.645
Hg4 0.499 0.262 0.999
Hg5 0.501 0.738 0.001
Hg6 0.653 0.460 0.355
Hg7 0.655 0.895 0.358
Hg8 0.844 0.317 0.631
Pb1 0.000 0.500 0.000



# 6
For RbHg17Pb, a cell relaxed with GGA-PBE gives the theoretical powder diffractogram in this record (a wavelength of 1.5418 Å).
Lines closer than 0.1° are merged.

Largest 10 diffraction maxima, in order of rising 2θ, 2θ = 10–90°:
2theta, I_rel
28.0, 14
28.9, 18
30.5, 27
31.6, 18
33.9, 100
36.3, 11
38.3, 9
54.2, 17
54.4, 9
62.6, 9

a b c (Å): 8.521 8.521 8.521
angles (deg): 73.13 73.13 73.13
Fractional positions:
Rb1 0.000 0.000 0.000
Hg1 0.054 0.366 0.669
Hg2 0.054 0.669 0.366
Hg3 0.280 0.705 0.705
Hg4 0.298 0.298 0.298
Hg5 0.300 0.300 0.932
Hg6 0.300 0.932 0.300
Hg7 0.366 0.054 0.669
Hg8 0.366 0.669 0.054
Hg9 0.467 0.467 0.467
Hg10 0.593 0.953 0.953
Hg11 0.669 0.054 0.366
Hg12 0.669 0.366 0.054
Hg13 0.705 0.280 0.705
Hg14 0.705 0.705 0.280
Hg15 0.932 0.300 0.300
Hg16 0.953 0.593 0.953
Hg17 0.953 0.953 0.593
Pb1 0.689 0.689 0.689



# 7
For Rb2Hg2Pb3, a cell relaxed with GGA-PBE gives the theoretical powder diffractogram in this record (a wavelength of 1.5418 Å).
Lines closer than 0.1° are merged.

Largest 10 diffraction maxima, in order of rising 2θ, 2θ = 10–90°:
2theta, I_rel
13.6, 100
27.3, 87
28.2, 31
29.1, 36
32.5, 94
35.1, 29
35.8, 23
37.2, 39
38.7, 22
51.9, 29

a b c (Å): 7.083 7.083 9.494
angles (deg): 118.62 118.62 39.91
Fractional positions:
Rb1 0.119 0.119 0.265
Rb2 0.881 0.881 0.735
Hg1 0.158 0.158 0.693
Hg2 0.842 0.842 0.307
Pb1 0.348 0.348 0.057
Pb2 0.500 0.500 0.500
Pb3 0.652 0.652 0.943



# 8
For Rb2Hg2PbS4, a cell relaxed with GGA-PBE gives the theoretical powder diffractogram in this record (a wavelength of 1.5418 Å).
Lines closer than 0.1° are merged.

Largest 10 diffraction maxima, in order of rising 2θ, 2θ = 10–90°:
2theta, I_rel
11.8, 100
23.8, 39
27.0, 86
31.8, 56
32.0, 38
32.5, 20
34.6, 17
40.3, 20
42.0, 19
50.3, 18

a b c (Å): 8.529 8.529 7.950
angles (deg): 109.00 109.00 29.21
Fractional positions:
Rb1 0.126 0.126 0.047
Rb2 0.874 0.874 0.953
Hg1 0.335 0.335 0.507
Hg2 0.665 0.665 0.493
Pb1 0.000 0.000 0.500
S1 0.208 0.208 0.689
S2 0.479 0.479 0.748
S3 0.521 0.521 0.252
S4 0.792 0.792 0.311